Starting from a PBE-relaxed structure, the powder XRD pattern of Mg6ZnBiO8 was simulated for CuKα.
Neutral-atom scattering factors, no anomalous dispersion.

Structural model:
a = 4.5174 Å, b = 4.5174 Å, c = 8.9555 Å
α = 90.00°, β = 90.00°, γ = 90.00°
Space group P4/mmm (No. 123)
Unique sites:
Mg  0.0000  0.0000  0.0000 [1 per cell]
Mg  0.0000  0.5000  0.2330 [4 per cell]
Mg  0.5000  0.5000  0.0000 [1 per cell]
Zn  0.0000  0.0000  0.5000 [1 per cell]
Bi  0.5000  0.5000  0.5000 [1 per cell]
O  0.0000  0.0000  0.2312 [2 per cell]
O  0.0000  0.5000  0.0000 [2 per cell]
O  0.0000  0.5000  0.5000 [2 per cell]
O  0.5000  0.5000  0.2297 [2 per cell]

Most intense lines, 10 to 90 degrees two-theta, in order of falling intensity:
(2 0 0), d = 2.259 Å, 39.91°, rel. 100
(1 1 2), d = 2.600 Å, 34.49°, rel. 85
(1 1 1), d = 3.009 Å, 29.69°, rel. 73
(2 0 4), d = 1.590 Å, 58.00°, rel. 58
(1 0 1), d = 4.033 Å, 22.04°, rel. 51
(0 0 2), d = 4.478 Å, 19.83°, rel. 49
(0 0 4), d = 2.239 Å, 40.28°, rel. 46
(1 1 0), d = 3.194 Å, 27.93°, rel. 42
(2 0 2), d = 2.018 Å, 44.93°, rel. 33
(1 0 0), d = 4.517 Å, 19.65°, rel. 33